Starting from a PBE-relaxed structure, the XRD peak list of LiCuPO4 was simulated for Cu Kα (weighted mean of Kα1 and Kα2).
Neutral-atom scattering factors, no anomalous dispersion.

Crystal structure
abc: 9.861 4.925 7.029
angles: 90.00 90.00 90.00
Atoms (fractional coordinates):
1 Li 0.157 0.204 0.000
2 Li 0.343 0.704 0.500
3 Li 0.657 0.296 0.000
4 Li 0.843 0.796 0.500
5 Cu 0.147 0.217 0.499
6 Cu 0.353 0.717 0.999
7 Cu 0.647 0.283 0.499
8 Cu 0.853 0.783 0.999
9 P 0.093 0.696 0.249
10 P 0.407 0.196 0.749
11 P 0.593 0.804 0.249
12 P 0.907 0.304 0.749
13 O 0.062 0.247 0.748
14 O 0.122 0.385 0.249
15 O 0.154 0.818 0.434
16 O 0.157 0.818 0.066
17 O 0.343 0.318 0.566
18 O 0.346 0.318 0.934
19 O 0.378 0.885 0.749
20 O 0.438 0.747 0.248
21 O 0.562 0.253 0.748
22 O 0.622 0.115 0.249
23 O 0.654 0.682 0.434
24 O 0.657 0.682 0.066
25 O 0.843 0.182 0.566
26 O 0.846 0.182 0.934
27 O 0.878 0.615 0.749
28 O 0.938 0.753 0.248

Main lines, by intensity (10° ≤ 2θ ≤ 90°):
2θ (°)  I/Imax  hkl
22.0  100  0 1 1
36.5  34  0 2 0
43.0  18  2 2 1
36.3  13  2 1 2
42.7  10  2 0 3
31.3  10  2 0 2
25.6  7  2 1 0
65.2  7  0 2 4
57.4  7  2 2 3
52.0  6  0 0 4